# 1
For NaPu2Br6, a cell relaxed with GGA-PBE gives the calculated PXRD pattern in this record (Cu Kα X-rays).
Lines closer than 0.1° are merged.

Atomic structure:
Lattice parameters (Å, degrees): 6.987 6.987 13.335 90.00 90.00 90.00
Space group P4_2/mnm (No. 136)
One atom of each set of equivalent atoms:
Na 0.000 0.000 0.000 [2 per cell]
Pu 0.000 0.000 0.333 [4 per cell]
Br 0.195 0.195 0.500 [4 per cell]
Br 0.201 0.201 0.170 [8 per cell]

Most intense lines, 10° ≤ 2θ ≤ 90°, in order of falling intensity:
| 2θ/deg | I (rel.) | h k l |
| --- | --- | --- |
| 35.10 | 100 | 2 1 3 |
| 17.95 | 100 | 1 1 0 |
| 43.89 | 57 | 3 0 3 |
| 26.98 | 52 | 1 1 3 |
| 14.31 | 52 | 1 0 1 |
| 23.72 | 39 | 1 0 3 |
| 36.37 | 39 | 2 2 0 |
| 44.70 | 26 | 1 1 6 |
| 55.63 | 23 | 2 2 6 |
| 76.48 | 23 | 5 2 3 |

# 2
For Na3PuBr7, a cell relaxed with GGA-PBE gives the calculated PXRD pattern in this record (Cu Kα X-rays).
Lines closer than 0.1° are merged.

Atomic structure:
Lattice parameters (Å, degrees): 12.230 9.907 7.400 90.00 109.05 90.00
Space group Cm (No. 8)
One atom of each set of equivalent atoms:
Na 0.000 0.000 0.000 [2 per cell]
Na 0.107 0.280 0.678 [4 per cell]
Pu 0.109 0.500 0.191 [2 per cell]
Br 0.096 0.000 0.707 [2 per cell]
Br 0.244 0.302 0.411 [4 per cell]
Br 0.244 0.500 0.943 [2 per cell]
Br 0.470 0.197 0.959 [4 per cell]
Br 0.471 0.000 0.425 [2 per cell]

Most intense lines, 10° ≤ 2θ ≤ 90°, in order of falling intensity:
| 2θ/deg | I (rel.) | h k l |
| --- | --- | --- |
| 11.76 | 100 | 1 1 0 |
| 15.35 | 61 | 2 0 0 |
| 19.07 | 48 | 1 1 1 |
| 29.25 | 43 | 2 2 1 |
| 31.98 | 41 | 1 3 1 |
| 46.18 | 40 | 5 3 -1 |
| 33.15 | 28 | 4 0 -2 |
| 25.09 | 24 | 2 0 -2 |
| 31.29 | 23 | 3 1 1 |
| 40.72 | 19 | 3 3 1 |

# 3
For NaPuBr3, a cell relaxed with GGA-PBE gives the calculated PXRD pattern in this record (Cu Kα X-rays).
Lines closer than 0.1° are merged.

Atomic structure:
Lattice parameters (Å, degrees): 7.447 7.453 7.761 115.34 115.26 95.40
Space group P1 (No. 1)
One atom of each set of equivalent atoms:
Na 0.000 0.000 0.000 [1 per cell]
Na 0.335 0.335 0.837 [1 per cell]
Pu 0.319 0.685 0.497 [1 per cell]
Pu 0.650 0.016 0.341 [1 per cell]
Br 0.017 0.895 0.587 [1 per cell]
Br 0.022 0.313 0.419 [1 per cell]
Br 0.214 0.704 0.091 [1 per cell]
Br 0.440 0.318 0.250 [1 per cell]
Br 0.628 0.707 0.919 [1 per cell]
Br 0.632 0.121 0.748 [1 per cell]

Most intense lines, 10° ≤ 2θ ≤ 90°, in order of falling intensity:
| 2θ/deg | I (rel.) | h k l |
| --- | --- | --- |
| 28.79 | 100 | 2 1 -1 |
| 16.08 | 96 | 1 -1 0 |
| 14.78 | 80 | 0 0 1 |
| 35.86 | 79 | 2 -2 1 |
| 21.91 | 76 | -1 1 1 |
| 13.97 | 74 | 1 0 0 |
| 25.43 | 73 | 1 0 -2 |
| 35.71 | 56 | 1 2 0 |
| 17.69 | 48 | 1 1 -1 |
| 42.59 | 46 | 3 1 -3 |

# 4
For Na2Pu2Br7, a cell relaxed with GGA-PBE gives the calculated PXRD pattern in this record (Cu Kα X-rays).
Lines closer than 0.1° are merged.

Atomic structure:
Lattice parameters (Å, degrees): 10.806 9.501 7.485 90.00 90.13 90.00
Space group C2/m (No. 12)
One atom of each set of equivalent atoms:
Na 0.000 0.226 0.000 [4 per cell]
Pu 0.225 0.000 0.500 [4 per cell]
Br 0.000 0.000 0.262 [4 per cell]
Br 0.000 0.500 0.500 [2 per cell]
Br 0.250 0.250 0.248 [8 per cell]

Most intense lines, 10° ≤ 2θ ≤ 90°, in order of falling intensity:
| 2θ/deg | I (rel.) | h k l |
| --- | --- | --- |
| 34.74 | 100 | 2 2 2 |
| 11.82 | 99 | 0 0 1 |
| 22.16 | 72 | 0 2 1 |
| 16.41 | 43 | 2 0 0 |
| 30.40 | 39 | 0 2 2 |
| 20.27 | 36 | 2 0 -1 |
| 33.16 | 35 | 4 0 0 |
| 37.87 | 30 | 0 4 0 |
| 39.80 | 26 | 0 4 1 |
| 51.20 | 23 | 4 4 0 |

# 5
For Na6PuBr8, a cell relaxed with GGA-PBE gives the calculated PXRD pattern in this record (Cu Kα X-rays).
Lines closer than 0.1° are merged.

Atomic structure:
Lattice parameters (Å, degrees): 12.164 12.164 12.164 90.00 90.00 90.00
Space group Fm-3m (No. 225)
One atom of each set of equivalent atoms:
Na 0.000 0.250 0.250 [24 per cell]
Pu 0.000 0.000 0.000 [4 per cell]
Br 0.000 0.000 0.247 [24 per cell]
Br 0.250 0.250 0.250 [8 per cell]

Most intense lines, 10° ≤ 2θ ≤ 90°, in order of falling intensity:
| 2θ/deg | I (rel.) | h k l |
| --- | --- | --- |
| 29.37 | 100 | 4 0 0 |
| 42.02 | 74 | 4 4 0 |
| 12.60 | 51 | 1 1 1 |
| 69.06 | 33 | 8 4 0 |
| 24.27 | 31 | 3 1 1 |
| 52.09 | 26 | 4 4 4 |
| 76.77 | 24 | 8 4 4 |
| 14.56 | 15 | 2 0 0 |
| 44.04 | 15 | 5 3 1 |
| 38.45 | 14 | 5 1 1 |